# ZrCrCuS4
Simulated PXRD pattern, CuKα. Input: a DFT-relaxed cell (PBE, the Materials Project).

Cell and atoms:
Cell: 7.250 10.223 7.227 Å, 90.00 90.00 90.00°
Space group Ima2 (No. 46)
Unique sites:
Zr 0.250 0.239 0.000 x4
Cr 0.000 0.000 0.759 x4
Cu 0.250 0.625 0.772 x4
S 0.002 0.739 0.250 x8
S 0.250 0.003 0.532 x4
S 0.250 0.507 0.493 x4

The 6 most intense peaks (2θ = 10–80°), low angle first:
24.6 deg, intensity 28; 28.9 deg, intensity 100; 35.1 deg, intensity 43; 46.1 deg, intensity 39; 50.3 deg, intensity 13; 50.5 deg, intensity 62


# ZrCrCuS4
Simulated PXRD pattern, CuKα. Input: a DFT-relaxed cell (PBE, the Materials Project).

Cell and atoms:
Cell: 5.954 3.578 6.082 Å, 90.00 92.72 90.00°
Space group P2/m (No. 10)
Unique sites:
Zr 0.000 0.000 0.000 x1
Cr 0.000 0.500 0.500 x1
Cu 0.500 0.500 0.500 x1
S 0.238 0.000 0.659 x2
S 0.247 0.500 0.191 x2

The 6 most intense peaks (2θ = 10–80°), low angle first:
14.9 deg, intensity 71; 29.0 deg, intensity 90; 33.1 deg, intensity 96; 41.7 deg, intensity 93; 42.8 deg, intensity 100; 51.9 deg, intensity 76


# ZrCrCuS4
Simulated PXRD pattern, CuKα. Input: a DFT-relaxed cell (PBE, the Materials Project).

Cell and atoms:
Cell: 7.246 7.252 10.106 Å, 90.00 90.00 90.00°
Space group I2_12_12_1 (No. 24)
Unique sites:
Zr 0.250 0.235 0.000 x4
Cr 0.001 0.000 0.250 x4
Cu 0.000 0.250 0.630 x4
S 0.007 0.499 0.492 x8
S 0.227 0.251 0.253 x8

The 6 most intense peaks (2θ = 10–80°), low angle first:
28.9 deg, intensity 100; 29.2 deg, intensity 53; 35.0 deg, intensity 42; 46.0 deg, intensity 33; 50.4 deg, intensity 38; 50.7 deg, intensity 75